SnH4: calculated XRD peak list (Cu Kα (weighted mean of Kα1 and Kα2)), based on DFT lattice parameters and positions (GGA-PBE).
No peak broadening, texture or thermal motion is included.

The 10 most intense peaks (2θ = 15–90°), sorted by position:
2θ/deg  d (Å)  I/Imax
26.48  3.366  26.1
29.68  3.010  100.0
32.38  2.765  13.3
35.28  2.544  55.5
37.10  2.423  14.4
39.52  2.280  22.3
44.64  2.030  18.6
47.33  1.921  12.6
61.62  1.505  12.6
62.35  1.489  12.9

Atomic structure:
```
SnH4
1.0
2.0038 -6.7324 0.0000
2.0038 6.7324 0.0000
0.0000 0.0000 4.8465
Sn H
2 8
Direct
0.2266 0.7734 0.7500
0.7734 0.2266 0.2500
0.0029 0.9971 0.2500
0.0587 0.9413 0.2500
0.4724 0.5276 0.0088
0.4724 0.5276 0.4912
0.5276 0.4724 0.5088
0.5276 0.4724 0.9912
0.9413 0.0587 0.7500
0.9971 0.0029 0.7500
```

HoCo4B: calculated XRD peak list (Cu Kα (weighted mean of Kα1 and Kα2)), based on DFT lattice parameters and positions (GGA-PBE).
No peak broadening, texture or thermal motion is included.

The 10 most intense peaks (2θ = 15–90°), sorted by position:
2θ/deg  d (Å)  I/Imax
20.55  4.322  17.1
33.37  2.685  88.6
35.99  2.495  31.5
41.80  2.161  70.0
44.93  2.017  100.0
63.04  1.475  28.3
66.15  1.413  13.8
70.08  1.343  16.6
70.96  1.328  25.5
76.33  1.248  19.3

Atomic structure:
```
HoCo4B
1.0
4.9906 0.0000 0.0000
-2.4953 4.3220 0.0000
0.0000 0.0000 6.8541
Ho Co B
2 8 2
Direct
0.0000 0.0000 0.0000
0.0000 0.0000 0.5000
0.0000 0.5000 0.2122
0.0000 0.5000 0.7878
0.3333 0.6667 0.5000
0.5000 0.0000 0.2122
0.5000 0.0000 0.7878
0.5000 0.5000 0.2122
0.5000 0.5000 0.7878
0.6667 0.3333 0.5000
0.3333 0.6667 0.0000
0.6667 0.3333 0.0000
```

MnC8N6: calculated XRD peak list (Cu Kα (weighted mean of Kα1 and Kα2)), based on DFT lattice parameters and positions (GGA-PBE).
No peak broadening, texture or thermal motion is included.

The 10 most intense peaks (2θ = 15–90°), sorted by position:
2θ/deg  d (Å)  I/Imax
15.16  5.844  74.8
17.35  5.112  22.4
23.18  3.837  100.0
24.68  3.607  51.5
27.72  3.218  19.5
29.04  3.075  17.1
31.59  2.832  31.7
31.90  2.805  26.0
35.43  2.534  25.2
46.32  1.960  13.9

Atomic structure:
```
MnC8N6
1.0
7.1204 0.0000 0.0000
0.0000 5.0879 0.0000
0.0000 0.0000 10.2293
Mn C N
2 16 12
Direct
0.0000 0.0000 0.0000
0.5000 0.0000 0.5000
0.0000 0.3779 0.2408
0.0000 0.4261 0.6621
0.0000 0.5739 0.3379
0.0000 0.6221 0.7592
0.1668 0.3115 0.6162
0.1668 0.6885 0.3838
0.3332 0.3115 0.8838
0.3332 0.6885 0.1162
0.5000 0.3779 0.2592
0.5000 0.4261 0.8379
0.5000 0.5739 0.1621
0.5000 0.6221 0.7408
0.6668 0.3115 0.8838
0.6668 0.6885 0.1162
0.8332 0.3115 0.6162
0.8332 0.6885 0.3838
0.0000 0.2225 0.1558
0.0000 0.7775 0.8442
0.2002 0.2052 0.9262
0.2002 0.7948 0.0738
0.2998 0.2052 0.5738
0.2998 0.7948 0.4262
0.5000 0.2225 0.3442
0.5000 0.7775 0.6558
0.7002 0.2052 0.5738
0.7002 0.7948 0.4262
0.7998 0.2052 0.9262
0.7998 0.7948 0.0738
```

NpSb3: calculated XRD peak list (Cu Kα (weighted mean of Kα1 and Kα2)), based on DFT lattice parameters and positions (GGA-PBE).
No peak broadening, texture or thermal motion is included.

The 10 most intense peaks (2θ = 15–90°), sorted by position:
2θ/deg  d (Å)  I/Imax
21.67  4.102  9.3
33.16  2.702  100.0
34.14  2.626  23.1
40.50  2.228  29.0
53.98  1.699  25.1
58.61  1.575  9.8
60.50  1.530  17.8
69.02  1.361  24.0
69.60  1.351  11.7
89.23  1.098  12.7

Atomic structure:
```
NpSb3
1.0
4.4551 0.0000 0.0000
0.0000 4.4551 0.0000
0.0000 0.0000 10.5051
Np Sb
2 6
Direct
0.0000 0.0000 0.0000
0.5000 0.5000 0.5000
0.0000 0.0000 0.5000
0.0000 0.5000 0.2500
0.0000 0.5000 0.7500
0.5000 0.0000 0.2500
0.5000 0.0000 0.7500
0.5000 0.5000 0.0000
```